Record 1
For BaCr2AsO10, a cell relaxed with PBE+U gives the simulated powder XRD pattern in this record (Cu Ka).

Largest 8 diffraction maxima, by angle, 2θ from 15° to 90°:
2θ (°)	intensity
15.3	351
24.0	420
24.7	1000
25.5	781
25.6	418
27.1	342
29.4	438
32.4	293

Crystal structure
```
28
Lattice="7.6163 0.0000 0.0000 -1.5439 8.0115 0.0000 -0.1477 -3.9452 7.2189" Properties=species:S:1:pos:R:3 pbc="T T T"
Ba 1.2914 1.7781 2.0332
Ba 4.6333 2.2883 5.1857
Cr -0.5443 5.5180 1.3880
Cr 0.6786 4.1539 5.3459
Cr 5.2461 -0.0875 1.8730
Cr 6.4690 -1.4516 5.8309
As 2.0158 -0.7014 5.2397
As 3.9089 4.7677 1.9792
O -0.9682 1.6012 6.9999
O 0.2682 -0.7429 4.9604
O -0.0855 3.1577 4.2809
O 1.2814 -0.9719 1.9180
O 1.2373 -3.5339 6.6028
O 0.7552 4.6003 1.7179
O 2.5691 -2.2382 4.5722
O 2.2715 -0.7704 6.9488
O 2.5872 0.6142 4.3773
O 2.0509 3.4483 5.8482
O 3.8738 0.6181 1.3707
O 3.3374 3.4521 2.8416
O 3.6532 4.8367 0.2701
O 3.3555 6.3045 2.6467
O 5.1695 -0.5340 5.5010
O 4.6874 7.6003 0.6161
O 4.6433 5.0383 5.3009
O 6.0101 0.9087 2.9380
O 5.6565 4.8093 2.2585
O 6.8929 2.4652 0.2190
```

=====

Record 2
For Ba2MnAs2O8, a cell relaxed with PBE+U gives the simulated powder XRD pattern in this record (Cu Ka).

Largest 8 diffraction maxima, by angle, 2θ from 15° to 90°:
2θ (°)	intensity
24.3	293
24.4	389
24.8	391
25.4	254
27.0	1000
30.8	345
31.9	423
33.3	304

Crystal structure
```
52
Lattice="5.6094 0.0000 0.0000 0.0000 9.3407 0.0000 -5.4811 0.0000 16.9051" Properties=species:S:1:pos:R:3 pbc="T T T"
Ba -1.3401 1.5262 4.5440
Ba -4.0806 3.1441 12.9965
Ba -4.3040 6.5181 16.5560
Ba -1.5634 7.4930 8.1035
Ba 1.6917 1.8477 8.8016
Ba 4.4323 2.8227 0.3491
Ba 4.2089 6.1966 3.9086
Ba 1.4683 7.8145 12.3611
Mn 1.5270 0.1882 2.3100
Mn -1.2136 4.4821 10.7625
Mn 1.3418 4.8586 6.1425
Mn -1.3987 9.1525 14.5951
As -4.0657 0.8918 15.6251
As -1.3251 3.7786 7.1726
As -1.3082 0.9729 11.2231
As 1.4324 3.6975 2.7706
As -1.3041 5.6433 14.1345
As 1.4365 8.3678 5.6820
As 1.4534 5.5621 9.7325
As 4.1940 8.4490 1.2800
O -2.7565 6.0187 10.6512
O -0.0159 7.9924 2.1986
O 1.0143 0.9996 0.3761
O -1.7262 3.6708 8.8287
O -1.8492 0.2883 9.7396
O 0.8914 4.3820 1.2870
O -0.7735 5.3288 6.6225
O -3.5141 8.6823 15.0750
O -3.0326 5.6826 14.0681
O -0.2920 8.3285 5.6155
O 0.7282 2.1203 2.9180
O -2.0124 2.5500 11.3705
O -1.9514 0.0526 12.5381
O 0.7892 4.6177 4.0856
O -2.7900 1.9776 15.2235
O -0.0495 2.6928 6.7709
O 0.1778 6.6480 10.1342
O 2.9183 7.3631 1.6816
O -0.6609 4.7230 12.8195
O 2.0796 9.2881 4.3670
O 2.1407 6.7907 5.5346
O -0.5999 7.2204 13.9871
O 0.4203 1.0122 11.2896
O 3.1609 3.6582 2.8370
O 3.6423 0.6584 1.8301
O 0.9018 4.0120 10.2826
O -0.7631 4.9587 15.6181
O 1.9775 9.0524 7.1655
O 1.8545 5.6699 8.0764
O -0.8860 8.3412 16.5290
O 0.1442 1.3483 14.7065
O 2.8847 3.3220 6.2539
```

=====

Record 3
For Ba2MnZn2As2O2, a cell relaxed with PBE+U gives the simulated powder XRD pattern in this record (Cu Ka).

Largest 8 diffraction maxima, by angle, 2θ from 15° to 90°:
2θ (°)	intensity
29.4	237
30.8	1000
34.7	404
38.2	176
42.1	423
53.1	349
55.5	135
61.1	135

Crystal structure
```
9
Lattice="-2.1447 2.1447 9.8806 2.1447 -2.1447 9.8806 2.1447 2.1447 -9.8806" Properties=species:S:1:pos:R:3 pbc="T T T"
Ba 0.0000 0.0000 1.7915
Ba 0.0000 0.0000 17.9696
Mn 0.0000 0.0000 9.8806
Zn 2.1447 0.0000 4.9403
Zn 0.0000 2.1447 4.9403
As 0.0000 0.0000 6.4292
As 0.0000 0.0000 13.3320
O 2.1447 0.0000 0.0000
O 0.0000 2.1447 0.0000
```

=====

Record 4
For BaNi2As2O8, a cell relaxed with PBE+U gives the simulated powder XRD pattern in this record (Cu Ka).

Largest 8 diffraction maxima, by angle, 2θ from 15° to 90°:
2θ (°)	intensity
21.7	439
27.6	1000
33.1	617
35.7	840
45.7	258
58.8	365
59.4	225
64.2	245

Crystal structure
```
13
Lattice="2.5124 1.4505 8.0500 -2.5124 1.4505 8.0500 0.0000 -2.9011 8.0500" Properties=species:S:1:pos:R:3 pbc="T T T"
Ba 0.0000 0.0000 0.0000
Ni 0.0000 0.0000 4.0771
Ni 0.0000 0.0000 20.0728
As 0.0000 0.0000 10.3289
As 0.0000 0.0000 13.8210
O -1.6613 0.0397 10.8560
O -0.8651 -1.4188 13.2939
O 0.0000 0.0000 8.6349
O 0.7962 -1.4586 10.8560
O -0.7962 1.4586 13.2939
O 0.0000 0.0000 15.5150
O 0.8651 1.4188 10.8560
O 1.6613 -0.0397 13.2939
```

=====

Record 5
For BaVAs2O8, a cell relaxed with PBE+U gives the simulated powder XRD pattern in this record (Cu Ka).

Largest 8 diffraction maxima, by angle, 2θ from 15° to 90°:
2θ (°)	intensity
23.0	683
23.9	532
25.7	528
26.1	1000
26.5	415
27.9	500
29.0	947
41.7	467

Crystal structure
```
48
Lattice="7.7622 0.0000 0.0000 0.0000 14.8980 0.0000 -2.9289 0.0000 6.2549" Properties=species:S:1:pos:R:3 pbc="T T T"
Ba 0.7514 1.8265 1.3040
Ba -0.7131 5.6225 4.4314
Ba 5.5463 9.2755 1.8235
Ba 4.0819 13.0716 4.9509
V 1.6629 9.6863 4.3556
V 3.1274 12.6607 1.2281
V 1.7059 2.2373 5.0268
V 3.1703 5.2117 1.8993
As -1.3216 10.1521 5.6107
As 0.1428 12.1949 2.4832
As 1.3586 7.9767 1.7257
As -0.1058 14.3703 4.8531
As 4.9391 0.5277 1.4018
As 3.4746 6.9213 4.5292
As 4.6904 2.7031 3.7717
As 6.1549 4.7459 0.6442
O -2.0351 2.9314 5.0640
O -0.5706 4.5176 1.9365
O 0.6737 9.0527 0.4557
O -0.7908 13.2944 3.5831
O -0.0511 7.6211 2.5841
O -1.5156 14.7260 5.7115
O 0.3191 10.6795 3.2678
O 1.7835 11.6675 0.1403
O 0.7995 0.6839 4.0426
O 2.2639 6.7651 0.9151
O 0.1671 9.2637 5.5493
O 1.6315 13.0833 2.4219
O 0.8508 3.4562 4.3330
O 2.3152 3.9928 1.2055
O 2.4594 8.9071 2.6852
O 0.9950 13.4399 5.8127
O 3.8383 1.4581 0.4422
O 2.3738 5.9909 3.5696
O 2.5180 10.9052 5.0493
O 3.9825 11.4418 1.9219
O 3.2017 1.8147 3.8330
O 4.6662 5.6343 0.7056
O 2.5693 8.1329 5.3398
O 4.0338 14.2142 2.2123
O 3.0497 3.2305 6.1145
O 4.5142 4.2185 2.9871
O 6.3488 0.1721 0.5434
O 4.8844 7.2770 3.6708
O 5.6240 1.6036 2.6718
O 4.1596 5.8454 5.7992
O 5.4039 10.3804 4.3184
O 6.8683 11.9666 1.1909
```

=====

Record 6
For BaVAsO6, a cell relaxed with PBE+U gives the simulated powder XRD pattern in this record (Cu Ka).

Largest 8 diffraction maxima, by angle, 2θ from 15° to 90°:
2θ (°)	intensity
19.9	683
24.7	1000
24.9	791
26.4	948
30.0	482
31.6	914
34.5	397
43.7	352

Crystal structure
```
36
Lattice="5.9013 0.0000 0.0000 0.0000 10.3548 0.0000 -0.0606 0.0000 9.0323" Properties=species:S:1:pos:R:3 pbc="T T T"
Ba 0.8103 2.0103 0.7790
Ba 0.7800 3.1671 5.2951
Ba 5.0608 7.1876 3.7372
Ba 5.0305 8.3445 8.2533
V 2.0837 6.1190 0.7758
V 2.0534 9.4132 5.2919
V 3.7874 0.9416 3.7403
V 3.7571 4.2358 8.2565
As 1.9959 6.3597 6.4900
As 2.0262 9.1724 1.9739
As 3.8146 1.1824 7.0584
As 3.8449 3.9950 2.5422
O 0.6185 5.9775 5.5907
O 0.6472 6.6079 1.4667
O 0.6169 8.9243 5.9828
O 0.6488 9.5546 1.0745
O 1.5793 6.9731 8.0722
O 1.6096 8.5590 3.5561
O 1.8508 0.6846 4.7412
O 1.8811 4.4927 0.2251
O 2.7548 2.3564 7.7659
O 2.7851 2.8209 3.2497
O 2.8465 0.3559 2.1052
O 2.8162 4.8215 6.6214
O 3.0246 5.5333 2.4109
O 2.9943 9.9988 6.9270
O 3.0557 7.5338 5.7825
O 3.0859 7.9983 1.2664
O 3.9596 5.8620 8.8072
O 3.9899 9.6701 4.2911
O 4.2312 1.7958 5.4762
O 4.2614 3.3816 0.9601
O 5.1920 0.8002 7.9577
O 5.2238 1.4305 3.0495
O 5.1935 3.7469 7.5656
O 5.2223 4.3772 3.4416
```

=====

Record 7
For FeCoBi2As2O12, a cell relaxed with PBE+U gives the simulated powder XRD pattern in this record (Cu Ka).

Largest 8 diffraction maxima, by angle, 2θ from 15° to 90°:
2θ (°)	intensity
23.5	882
25.2	1000
25.3	417
25.5	671
31.2	750
32.1	496
33.6	653
35.9	681

Crystal structure
```
36
Lattice="6.1886 0.0000 0.0000 0.4296 9.0895 0.0000 1.2314 2.9078 8.7103" Properties=species:S:1:pos:R:3 pbc="T T T"
Fe 0.0000 0.0000 0.0000
Fe 0.2148 4.5447 0.0000
Co 3.0943 0.0000 0.0000
Co 3.3091 4.5447 0.0000
Bi 2.7448 2.6102 5.2870
Bi 2.9841 7.1545 5.3010
Bi 4.8654 4.8427 3.4094
Bi 5.1047 9.3870 3.4234
As 1.8172 6.6306 1.9197
As 1.6203 2.0636 1.8929
As 6.2292 9.9336 6.8174
As 6.0323 5.3667 6.7906
O 1.4932 10.8396 7.0951
O 1.2858 6.2745 7.0869
O 1.4291 2.7288 3.4450
O 1.6471 7.3230 3.4613
O 1.6884 3.3494 0.7530
O 1.9232 7.8981 0.7491
O 2.7707 3.6733 7.9551
O 3.1616 8.2192 7.9263
O 3.1824 4.9319 4.7846
O 3.4095 9.4784 4.7818
O 3.2225 5.6410 1.6844
O 3.0122 1.0484 1.6404
O 4.8374 10.9488 7.0699
O 4.6271 6.3563 7.0260
O 4.4400 2.5188 3.9286
O 4.6671 7.0653 3.9257
O 4.6880 3.7781 0.7841
O 5.0789 8.3240 0.7552
O 5.9263 4.0992 7.9613
O 6.1611 8.6479 7.9574
O 6.2024 4.6742 5.2491
O 6.4204 9.2685 5.2654
O 6.5637 5.7227 1.6234
O 6.3563 1.1576 1.6152
```

=====

Record 8
For FeBiAsO, a cell relaxed with PBE+U gives the simulated powder XRD pattern in this record (Cu Ka).

Largest 8 diffraction maxima, by angle, 2θ from 15° to 90°:
2θ (°)	intensity
29.2	1000
31.5	249
32.9	225
36.3	158
37.0	156
45.2	278
50.3	274
54.7	356

Crystal structure
```
8
Lattice="4.0160 0.0000 0.0000 0.0000 4.0160 0.0000 0.0000 0.0000 9.4305" Properties=species:S:1:pos:R:3 pbc="T T T"
Fe 1.0040 3.0120 0.0000
Fe 3.0120 1.0040 0.0000
Bi 1.0040 1.0040 3.4645
Bi 3.0120 3.0120 5.9660
As 1.0040 1.0040 7.7498
As 3.0120 3.0120 1.6807
O 1.0040 3.0120 4.7152
O 3.0120 1.0040 4.7152
```